Record 1
Starting from a structure optimized by DFT (PBE), the powder XRD pattern of SrMgP3N5O2 was calculated for λ = 1.5418 Å (Cu Kα).

Structure:
a b c (Å): 7.0499 6.6467 14.1818
angles (deg): 90.00 118.96 90.00
Space group P2_1/c (No. 14)
Unique sites:
1 Sr 0.0128 0.2462 0.3880 (multiplicity 4)
2 Mg 0.4791 0.0059 0.1151 (multiplicity 4)
3 P 0.2265 0.2422 0.7090 (multiplicity 4)
4 P 0.2397 0.7233 0.9110 (multiplicity 4)
5 P 0.4387 0.5146 0.1194 (multiplicity 4)
6 N 0.0099 0.7012 0.8000 (multiplicity 4)
7 N 0.2356 0.5741 0.0008 (multiplicity 4)
8 N 0.3217 0.0256 0.6934 (multiplicity 4)
9 N 0.3947 0.2065 0.3370 (multiplicity 4)
10 N 0.4380 0.6910 0.8837 (multiplicity 4)
11 O 0.2145 0.0865 0.1306 (multiplicity 4)
12 O 0.2783 0.5512 0.4511 (multiplicity 4)

Principal peaks in the range 2θ from 10° to 80°, sorted by position:
two_theta	I/Imax	index
28.25	95	1 1 2
28.67	90	2 1 -2
28.78	64	0 0 4
29.33	56	2 0 -4
30.55	100	1 2 0
41.31	54	3 1 -2



Record 2
Starting from a structure optimized by DFT (PBE), the powder XRD pattern of Tb3Pm2Cd6 was calculated for λ = 1.5418 Å (Cu Kα).

Structure:
a b c (Å): 5.0117 5.0117 28.0714
angles (deg): 90.00 90.00 90.00
Space group I4/mmm (No. 139)
Unique sites:
1 Tb 0.0000 0.0000 0.0000 (multiplicity 2)
2 Tb 0.0000 0.0000 0.1346 (multiplicity 4)
3 Pm 0.0000 0.0000 0.3645 (multiplicity 4)
4 Cd 0.0000 0.0000 0.2486 (multiplicity 4)
5 Cd 0.0000 0.5000 0.0642 (multiplicity 8)

Principal peaks in the range 2θ from 10° to 80°, sorted by position:
two_theta	I/Imax	index
25.13	19	1 1 0
25.93	27	1 1 2
35.84	57	2 0 0
36.02	100	1 1 8
51.58	20	2 2 0
64.52	35	3 1 8



Record 3
Starting from a structure optimized by DFT (PBE), the powder XRD pattern of Ce3H4 was calculated for λ = 1.5418 Å (Cu Kα).

Structure:
a b c (Å): 7.2854 10.3104 6.3013
angles (deg): 90.00 125.24 90.00
Space group Cc (No. 9)
Unique sites:
1 Ce 0.0000 0.0629 0.0000 (multiplicity 4)
2 Ce 0.1253 0.3127 0.7500 (multiplicity 4)
3 Ce 0.4371 0.1248 0.6247 (multiplicity 4)
4 H 0.0167 0.1710 0.3749 (multiplicity 4)
5 H 0.1877 0.5000 0.0330 (multiplicity 4)
6 H 0.2662 0.0791 0.8744 (multiplicity 4)
7 H 0.2796 0.2500 0.2165 (multiplicity 4)

Principal peaks in the range 2θ from 10° to 80°, sorted by position:
two_theta	I/Imax	index
30.05	100	2 2 -1
34.83	11	0 4 0
39.10	34	1 3 1
46.65	21	3 1 0
56.49	23	4 2 -3
65.30	17	1 7 -1



Record 4
Starting from a structure optimized by DFT (PBE), the powder XRD pattern of Pm2Er8Al was calculated for λ = 1.5418 Å (Cu Kα).

Structure:
a b c (Å): 19.1257 5.4382 6.3999
angles (deg): 90.00 94.19 90.00
Space group C2/m (No. 12)
Unique sites:
1 Pm 0.2425 0.0000 0.3320 (multiplicity 4)
2 Er 0.0422 0.0000 0.2550 (multiplicity 4)
3 Er 0.0772 0.5000 0.6038 (multiplicity 4)
4 Er 0.1527 0.0000 0.8145 (multiplicity 4)
5 Er 0.1565 0.5000 0.1227 (multiplicity 4)
6 Al 0.0000 0.5000 0.0000 (multiplicity 2)

Principal peaks in the range 2θ from 10° to 80°, sorted by position:
two_theta	I/Imax	index
30.48	19	6 0 -1
31.12	22	5 1 -1
32.62	100	5 1 1
32.94	30	0 2 0
45.49	12	6 2 -1
58.62	19	5 3 1